The following is a simulated powder diffractogram of Mn3Fe2SbP6O24. It was derived from a structure optimized by DFT (PBE+U), using Cu Kα (λ = 1.5418 Å).
Kinematic intensities with the Lorentz-polarization factor, no thermal factor.

Structural model:
```
Mn3Fe2SbP6O24
1.0
4.362 2.518 6.979
-4.362 2.518 6.979
0.000 -5.036 6.979
Mn Fe Sb P O
3 2 1 6 24
Cartesian
0.000 0.000 0.000 Mn
0.000 0.000 4.402 Mn
0.000 0.000 10.418 Mn
0.000 0.000 7.411 Fe
0.000 0.000 18.024 Fe
0.000 0.000 14.906 Sb
-3.051 0.303 9.157 P
-1.280 -2.241 12.645 P
1.263 -2.794 9.157 P
-1.301 2.229 12.645 P
1.788 2.490 9.157 P
2.581 0.012 12.645 P
-3.488 0.986 7.870 O
-0.891 -1.263 5.878 O
-2.831 -2.371 12.538 O
-3.471 0.965 10.449 O
0.890 -3.514 7.870 O
-1.520 0.073 9.002 O
-0.648 1.403 5.878 O
-0.839 -1.502 11.396 O
0.900 -3.489 10.449 O
0.697 -1.353 9.002 O
1.539 -0.140 5.878 O
-0.884 -1.471 13.962 O
-0.881 1.477 11.396 O
-1.487 -0.111 16.273 O
0.823 1.280 9.002 O
-0.832 1.501 13.962 O
1.720 0.024 11.396 O
-0.638 3.637 12.538 O
0.840 -1.233 16.273 O
2.598 2.527 7.870 O
1.716 -0.030 13.962 O
3.469 -1.266 12.538 O
0.648 1.344 16.273 O
2.571 2.523 10.449 O
```

Top 12 peaks for 2θ from 15° to 90°, in order of rising 2θ:
20.4°, I = 100; 20.6°, I = 22; 24.1°, I = 90; 29.2°, I = 15; 31.6°, I = 16; 32.9°, I = 73; 35.7°, I = 45; 47.1°, I = 32; 49.3°, I = 28; 55.8°, I = 27; 56.2°, I = 15; 62.3°, I = 22